Starting from the PBE+U geometry in the Materials Project, the XRD peak list of Li4MnCo2O7 was calculated for Cu Kα.

Cell and atoms:
```
28
Lattice="4.990 0.000 0.000 1.569 4.844 0.000 2.408 0.118 10.316" Properties=species:S:1:pos:R:3 pbc="T T T"
Li 0.000 0.000 0.000
Li 3.183 2.526 8.987
Li 3.999 4.900 7.546
Li 4.037 4.879 4.589
Li 4.060 4.837 1.501
Li 6.495 4.921 8.909
Li 4.902 0.087 6.098
Li 6.574 4.831 3.028
Mn 3.286 2.394 3.022
Mn 3.272 2.416 0.084
Co 3.243 2.496 6.089
Co 5.693 2.515 7.554
Co 5.770 2.419 4.557
Co 5.779 2.406 1.566
O 2.463 3.499 4.384
O 1.683 1.323 2.986
O 2.435 3.452 1.597
O 1.664 1.356 0.229
O 4.939 3.662 9.056
O 4.100 1.376 7.420
O 4.839 3.603 5.935
O 4.108 1.318 4.396
O 4.912 3.450 3.007
O 4.135 1.358 1.585
O 4.881 3.481 0.243
O 6.418 1.401 9.074
O 7.278 3.624 7.407
O 6.596 1.346 5.954
```

Top 10 peaks for 10° ≤ 2θ ≤ 90°, by angle:
2θ 18.32, I 100; 2θ 35.67, I 13; 2θ 36.05, I 13; 2θ 36.67, I 13; 2θ 37.66, I 8; 2θ 42.97, I 28; 2θ 43.61, I 28; 2θ 44.45, I 26; 2θ 47.63, I 8; 2θ 63.05, I 14



Starting from the PBE+U geometry in the Materials Project, the XRD peak list of Li4MnCo2O7 was calculated for Cu Kα.

Cell and atoms:
```
28
Lattice="9.737 -1.438 0.000 9.737 1.438 0.000 -3.792 0.000 8.992" Properties=species:S:1:pos:R:3 pbc="T T T"
Li 0.000 0.000 0.000
Li 0.591 0.000 5.031
Li 5.230 0.000 1.381
Li 5.825 0.000 6.376
Li 7.938 0.000 4.524
Li 10.165 0.000 2.597
Li 10.778 0.000 7.695
Li 15.344 0.000 3.996
Mn -1.549 0.000 6.976
Mn 2.973 0.000 3.231
Co 3.466 0.000 8.425
Co 12.309 0.000 0.596
Co 13.042 0.000 5.878
Co 17.484 0.000 2.135
O -0.689 0.000 3.388
O 1.591 0.000 1.452
O -0.309 0.000 8.656
O 2.297 0.000 6.851
O 4.320 0.000 4.997
O 6.638 0.000 2.838
O 8.469 0.000 0.908
O 7.226 0.000 7.904
O 9.265 0.000 6.228
O 11.709 0.000 4.164
O 13.680 0.000 2.313
O 16.027 0.000 0.245
O 14.174 0.000 7.569
O 16.718 0.000 5.604
```

Top 10 peaks for 10° ≤ 2θ ≤ 90°, by angle:
2θ 18.35, I 100; 2θ 35.06, I 15; 2θ 36.36, I 24; 2θ 42.31, I 27; 2θ 44.14, I 52; 2θ 47.51, I 8; 2θ 58.12, I 9; 2θ 62.75, I 14; 2θ 62.84, I 14; 2θ 64.82, I 7



Starting from the PBE+U geometry in the Materials Project, the XRD peak list of Li5Mn2CoO8 was calculated for Cu Kα.

Cell and atoms:
```
32
Lattice="2.886 0.000 0.000 1.435 6.304 0.000 0.125 0.416 15.355" Properties=species:S:1:pos:R:3 pbc="T T T"
Li 0.753 2.344 2.875
Li 0.806 1.022 8.721
Li 2.244 6.586 11.496
Li 2.246 5.928 14.273
Li 2.193 4.207 4.808
Li 2.252 2.512 10.547
Li 2.199 0.791 1.083
Li 2.201 0.133 3.860
Li 3.639 5.698 6.635
Li 3.692 4.376 12.480
Mn 0.763 1.710 5.745
Mn 2.194 4.852 1.994
Mn 2.251 1.868 13.361
Mn 3.682 5.010 9.610
Co 0.717 3.152 0.000
Co 2.223 3.360 7.678
O 0.783 3.093 8.962
O 0.805 2.273 12.134
O 0.808 1.645 14.690
O 0.757 0.337 2.369
O 2.197 6.220 5.376
O 2.235 5.201 8.270
O 2.239 4.606 10.825
O 2.224 3.833 13.967
O 2.221 2.887 1.389
O 2.206 2.114 4.531
O 2.210 1.519 7.086
O 2.248 0.499 9.980
O 3.688 6.383 12.986
O 3.638 5.075 0.665
O 3.640 4.447 3.221
O 3.662 3.626 6.394
```

Top 10 peaks for 10° ≤ 2θ ≤ 90°, by angle:
2θ 11.53, I 28; 2θ 14.05, I 16; 2θ 17.97, I 9; 2θ 18.45, I 100; 2θ 36.23, I 12; 2θ 36.43, I 26; 2θ 43.59, I 32; 2θ 43.96, I 30; 2θ 44.40, I 29; 2θ 64.10, I 15



Starting from the PBE+U geometry in the Materials Project, the XRD peak list of Li4MnCo2O7 was calculated for Cu Kα.

Cell and atoms:
```
28
Lattice="6.553 0.000 0.000 2.024 6.256 0.000 2.112 1.454 6.101" Properties=species:S:1:pos:R:3 pbc="T T T"
Li 0.000 0.000 0.000
Li 3.386 5.864 3.899
Li 4.039 3.528 5.714
Li 4.593 6.157 1.235
Li 5.348 3.830 3.068
Li 6.028 1.582 4.795
Li 6.612 4.140 0.413
Li 7.253 1.836 2.145
Mn 2.681 4.004 1.716
Mn 6.037 5.722 5.230
Co 3.355 1.709 3.521
Co 4.687 1.954 0.848
Co 7.294 5.991 2.502
Co 7.980 3.664 4.353
O 2.664 5.910 1.981
O 4.249 5.622 5.960
O 3.298 3.765 3.564
O 2.766 2.042 1.534
O 4.052 1.382 5.370
O 5.410 5.915 3.421
O 4.494 4.057 0.999
O 6.078 3.755 5.039
O 5.215 1.754 2.816
O 6.595 6.206 0.769
O 7.862 5.688 4.529
O 7.411 3.947 2.350
O 6.451 2.080 0.203
O 8.032 1.766 4.093
```

Top 10 peaks for 10° ≤ 2θ ≤ 90°, by angle:
2θ 18.33, I 100; 2θ 35.86, I 14; 2θ 36.01, I 14; 2θ 36.32, I 13; 2θ 43.28, I 29; 2θ 43.64, I 29; 2θ 43.96, I 28; 2θ 62.91, I 15; 2θ 63.33, I 15; 2θ 64.03, I 7